1.
Computed powder diffractogram of Sr2In6GaPd for Cu Kα X-rays, from the PBE geometry in Alexandria.
Lines closer than 0.1° are merged.

a = 7.2587 Å, b = 7.2587 Å, c = 37.2308 Å
α = 90.00°, β = 90.00°, γ = 120.00°
Space group R-3m (No. 166, hexagonal axes)
Symmetry-distinct sites (fractional):
1 Sr 0.0000 0.0000 0.1048 x6
2 Sr 0.0000 0.0000 0.2814 x6
3 In 0.0505 0.5252 0.3011 x18
4 In 0.0588 0.5294 0.8653 x18
5 Ga 0.0000 0.0000 0.4273 x6
6 Pd 0.0000 0.0000 0.0000 x3
7 Pd 0.0000 0.0000 0.5000 x3

Largest 6 diffraction maxima, in order of rising 2θ, 10° ≤ 2θ ≤ 90°:
Position (°2θ)  intensity  index
30.9  84  2 0 5
33.1  100  0 2 7
38.2  66  1 2 2
39.1  40  2 0 11
48.7  38  3 0 9
50.3  45  2 2 0

---

2.
Computed powder diffractogram of Pm7In2Ga for Cu Kα X-rays, from the PBE geometry in Alexandria.
Lines closer than 0.1° are merged.

a = 11.1138 Å, b = 11.1138 Å, c = 11.1138 Å
α = 90.00°, β = 90.00°, γ = 90.00°
Space group Fm-3m (No. 225)
Symmetry-distinct sites (fractional):
1 Pm 0.0000 0.0000 0.0000 x4
2 Pm 0.0000 0.0000 0.2535 x24
3 In 0.2500 0.2500 0.2500 x8
4 Ga 0.0000 0.0000 0.5000 x4

Largest 6 diffraction maxima, in order of rising 2θ, 10° ≤ 2θ ≤ 90°:
Position (°2θ)  intensity  index
27.8  88  2 2 2
32.2  100  4 0 0
46.2  73  4 4 0
54.8  39  6 2 2
57.4  25  4 4 4
76.7  32  8 4 0

---

3.
Computed powder diffractogram of Pm5InGa4 for Cu Kα X-rays, from the PBE geometry in Alexandria.
Lines closer than 0.1° are merged.

a = 3.6849 Å, b = 3.6849 Å, c = 18.7319 Å
α = 90.00°, β = 90.00°, γ = 90.00°
Space group P4/mmm (No. 123)
Symmetry-distinct sites (fractional):
1 Pm 0.0000 0.0000 0.0000 x1
2 Pm 0.0000 0.0000 0.1940 x2
3 Pm 0.0000 0.0000 0.3895 x2
4 In 0.5000 0.5000 0.5000 x1
5 Ga 0.5000 0.5000 0.0971 x2
6 Ga 0.5000 0.5000 0.2920 x2

Largest 6 diffraction maxima, in order of rising 2θ, 10° ≤ 2θ ≤ 90°:
Position (°2θ)  intensity  index
24.2  10  1 0 0
34.1  100  1 0 5
34.4  51  1 1 0
49.5  18  2 0 0
60.9  16  1 1 10
61.5  36  2 1 5

---

4.
Computed powder diffractogram of Pm3In3Ga2 for Cu Kα X-rays, from the PBE geometry in Alexandria.
Lines closer than 0.1° are merged.

a = 4.4837 Å, b = 11.5384 Å, c = 15.9511 Å
α = 90.00°, β = 90.00°, γ = 90.00°
Space group Cmcm (No. 63)
Symmetry-distinct sites (fractional):
1 Pm 0.0000 0.0615 0.1112 x8
2 Pm 0.0000 0.3423 0.2500 x4
3 In 0.0000 0.3634 0.0359 x8
4 In 0.0000 0.3846 0.7500 x4
5 Ga 0.0000 0.2242 0.6180 x8

Largest 6 diffraction maxima, in order of rising 2θ, 10° ≤ 2θ ≤ 90°:
Position (°2θ)  intensity  index
30.6  34  1 3 0
31.0  100  1 1 4
31.5  24  0 4 1
35.1  53  1 3 3
38.5  20  0 4 4
40.2  34  2 0 0

---

5.
Computed powder diffractogram of PmInGa2 for Cu Kα X-rays, from the PBE geometry in Alexandria.
Lines closer than 0.1° are merged.

a = 6.9648 Å, b = 8.2025 Å, c = 6.4120 Å
α = 90.00°, β = 90.00°, γ = 90.00°
Space group Cmcm (No. 63)
Symmetry-distinct sites (fractional):
1 Pm 0.0000 0.1796 0.2500 x4
2 In 0.0000 0.2355 0.7500 x4
3 Ga 0.1878 0.5000 0.0000 x8

Largest 6 diffraction maxima, in order of rising 2θ, 10° ≤ 2θ ≤ 90°:
Position (°2θ)  intensity  index
32.6  34  1 1 2
33.8  89  2 2 0
35.3  43  1 3 0
35.5  100  0 2 2
38.2  88  2 0 2
59.7  57  3 3 2

---

6.
Computed powder diffractogram of Pm2In3Ga for Cu Kα X-rays, from the PBE geometry in Alexandria.
Lines closer than 0.1° are merged.

a = 3.6904 Å, b = 4.8924 Å, c = 8.4483 Å
α = 90.00°, β = 90.00°, γ = 90.00°
Space group Pmm2 (No. 25)
Symmetry-distinct sites (fractional):
1 Pm 0.0000 0.0000 0.0000 x1
2 Pm 0.0000 0.5000 0.4816 x1
3 In 0.5000 0.0000 0.6469 x1
4 In 0.5000 0.5000 0.1633 x1
5 In 0.5000 0.5000 0.8233 x1
6 Ga 0.5000 0.0000 0.3207 x1

Largest 6 diffraction maxima, in order of rising 2θ, 10° ≤ 2θ ≤ 90°:
Position (°2θ)  intensity  index
32.2  100  1 1 1
36.8  69  0 2 0
49.4  10  2 0 0
49.7  29  1 2 2
63.2  28  2 2 0
63.4  18  1 3 1

---

7.
Computed powder diffractogram of Pm4InGa12 for Cu Kα X-rays, from the PBE geometry in Alexandria.
Lines closer than 0.1° are merged.

a = 8.9345 Å, b = 8.9345 Å, c = 8.9345 Å
α = 90.00°, β = 90.00°, γ = 90.00°
Space group Im-3m (No. 229)
Symmetry-distinct sites (fractional):
1 Pm 0.2500 0.2500 0.2500 x8
2 In 0.0000 0.0000 0.0000 x2
3 Ga 0.0000 0.0000 0.3194 x12
4 Ga 0.0000 0.2500 0.5000 x12

Largest 6 diffraction maxima, in order of rising 2θ, 10° ≤ 2θ ≤ 90°:
Position (°2θ)  intensity  index
28.3  48  2 2 0
34.8  100  2 2 2
37.7  21  3 2 1
40.4  69  4 0 0
58.4  36  4 4 0
69.8  26  6 2 2

---

8.
Computed powder diffractogram of Pm4InGa for Cu Kα X-rays, from the PBE geometry in Alexandria.
Lines closer than 0.1° are merged.

a = 5.7667 Å, b = 6.9415 Å, c = 8.9781 Å
α = 90.00°, β = 98.90°, γ = 90.00°
Space group P2_1/m (No. 11)
Symmetry-distinct sites (fractional):
1 Pm 0.1657 0.2500 0.0522 x2
2 Pm 0.1971 0.7500 0.3780 x2
3 Pm 0.3305 0.5151 0.7420 x4
4 In 0.2351 0.2500 0.4187 x2
5 Ga 0.3429 0.7500 0.0480 x2

Largest 6 diffraction maxima, in order of rising 2θ, 10° ≤ 2θ ≤ 90°:
Position (°2θ)  intensity  index
31.0  81  1 2 -1
31.4  85  2 0 0
31.9  82  1 0 -3
32.6  84  1 2 1
32.8  100  0 2 2
36.3  49  1 0 3

---

9.
Computed powder diffractogram of PmPrInGa for Cu Kα X-rays, from the PBE geometry in Alexandria.
Lines closer than 0.1° are merged.

a = 3.7673 Å, b = 3.7673 Å, c = 7.6788 Å
α = 90.00°, β = 90.00°, γ = 90.00°
Space group P4mm (No. 99)
Symmetry-distinct sites (fractional):
1 Pm 0.0000 0.0000 0.0000 x1
2 Pr 0.0000 0.0000 0.5273 x1
3 In 0.5000 0.5000 0.2584 x1
4 Ga 0.5000 0.5000 0.7700 x1

Largest 6 diffraction maxima, in order of rising 2θ, 10° ≤ 2θ ≤ 90°:
Position (°2θ)  intensity  index
33.3  100  1 0 2
33.6  50  1 1 0
48.3  18  2 0 0
59.3  18  1 1 4
60.0  36  2 1 2
70.0  11  2 0 4

---

10.
Computed powder diffractogram of PmPrInGa for Cu Kα X-rays, from the PBE geometry in Alexandria.
Lines closer than 0.1° are merged.

a = 7.5852 Å, b = 7.5852 Å, c = 7.5852 Å
α = 90.00°, β = 90.00°, γ = 90.00°
Space group F-43m (No. 216)
Symmetry-distinct sites (fractional):
1 Pm 0.0000 0.0000 0.0000 x4
2 Pr 0.0000 0.0000 0.5000 x4
3 In 0.2500 0.2500 0.7500 x4
4 Ga 0.2500 0.2500 0.2500 x4

Largest 6 diffraction maxima, in order of rising 2θ, 10° ≤ 2θ ≤ 90°:
Position (°2θ)  intensity  index
23.5  5  2 0 0
33.4  100  2 2 0
48.0  18  4 0 0
59.7  37  4 2 2
70.2  11  4 4 0
80.0  16  6 2 0

---

11.
Computed powder diffractogram of Pr5In4Ga for Cu Kα X-rays, from the PBE geometry in Alexandria.
Lines closer than 0.1° are merged.

a = 3.8507 Å, b = 3.8507 Å, c = 19.5527 Å
α = 90.00°, β = 90.00°, γ = 90.00°
Space group P4/mmm (No. 123)
Symmetry-distinct sites (fractional):
1 Pr 0.0000 0.0000 0.0000 x1
2 Pr 0.0000 0.0000 0.2049 x2
3 Pr 0.0000 0.0000 0.4083 x2
4 In 0.5000 0.5000 0.1024 x2
5 In 0.5000 0.5000 0.3063 x2
6 Ga 0.5000 0.5000 0.5000 x1

Largest 6 diffraction maxima, in order of rising 2θ, 10° ≤ 2θ ≤ 90°:
Position (°2θ)  intensity  index
32.6  100  1 0 5
32.9  50  1 1 0
47.2  18  2 0 0
58.1  17  1 1 10
58.6  37  2 1 5
68.4  10  2 0 10

---

12.
Computed powder diffractogram of PrInGa4 for Cu Kα X-rays, from the PBE geometry in Alexandria.
Lines closer than 0.1° are merged.

a = 4.4993 Å, b = 11.9005 Å, c = 4.8610 Å
α = 90.00°, β = 90.00°, γ = 90.00°
Space group Cmmm (No. 65)
Symmetry-distinct sites (fractional):
1 Pr 0.0000 0.0000 0.0000 x2
2 In 0.0000 0.5000 0.5000 x2
3 Ga 0.0000 0.1784 0.5000 x4
4 Ga 0.0000 0.3081 0.0000 x4

Largest 6 diffraction maxima, in order of rising 2θ, 10° ≤ 2θ ≤ 90°:
Position (°2θ)  intensity  index
35.4  100  1 3 1
37.0  24  0 0 2
40.1  19  2 0 0
55.7  14  2 0 2
65.6  17  1 3 3
69.8  13  3 3 1